Record 1
TiCuGe: calculated XRD peak list (CuKα), based on a GGA-PBE-relaxed structure.
Peak positions follow from Bragg's law for the DFT cell and can differ from measured ones.

Main lines, in order of rising 2θ (2θ from 10° to 90°):
- 19.48 deg, rel. 21.6
- 26.19 deg, rel. 20.6
- 38.12 deg, rel. 77.7
- 40.43 deg, rel. 26.5
- 42.15 deg, rel. 49.1
- 43.97 deg, rel. 100.0
- 48.52 deg, rel. 33.9
- 53.88 deg, rel. 20.8

Unit cell a=5.117 b=3.752 c=9.113 alpha=90.00 beta=90.00 gamma=90.00
Atoms (fractional coordinates):
Ti 0.241 0.250 0.051
Ti 0.259 0.750 0.551
Ti 0.741 0.250 0.449
Ti 0.759 0.750 0.949
Cu 0.009 0.250 0.753
Cu 0.491 0.750 0.253
Cu 0.509 0.250 0.747
Cu 0.991 0.750 0.247
Ge 0.237 0.250 0.359
Ge 0.263 0.750 0.859
Ge 0.737 0.250 0.141
Ge 0.763 0.750 0.641


Record 2
FeSe2NCl6: calculated XRD peak list (CuKα), based on a GGA-PBE-relaxed structure.
Peak positions follow from Bragg's law for the DFT cell and can differ from measured ones.

Main lines, in order of rising 2θ (2θ from 10° to 90°):
- 17.81 deg, rel. 75.5
- 19.07 deg, rel. 76.9
- 20.03 deg, rel. 90.3
- 21.41 deg, rel. 77.8
- 26.86 deg, rel. 85.4
- 27.97 deg, rel. 100.0
- 28.62 deg, rel. 76.9
- 48.42 deg, rel. 54.5

Unit cell a=10.219 b=11.825 c=10.931 alpha=90.00 beta=114.39 gamma=90.00
Atoms (fractional coordinates):
Fe 0.173 0.193 0.488
Fe 0.173 0.307 0.988
Fe 0.827 0.693 0.012
Fe 0.827 0.807 0.512
Se 0.212 0.683 0.877
Se 0.212 0.817 0.377
Se 0.273 0.545 0.452
Se 0.273 0.955 0.952
Se 0.727 0.045 0.048
Se 0.727 0.455 0.548
Se 0.788 0.183 0.623
Se 0.788 0.317 0.123
N 0.213 0.671 0.370
N 0.213 0.829 0.870
N 0.787 0.171 0.130
N 0.787 0.329 0.630
Cl 0.005 0.679 0.587
Cl 0.005 0.821 0.087
Cl 0.148 0.095 0.647
Cl 0.148 0.405 0.147
Cl 0.166 0.083 0.323
Cl 0.166 0.417 0.823
Cl 0.367 0.634 0.079
Cl 0.367 0.866 0.579
Cl 0.378 0.212 0.066
Cl 0.378 0.288 0.566
Cl 0.424 0.578 0.660
Cl 0.424 0.922 0.160
Cl 0.576 0.078 0.840
Cl 0.576 0.422 0.340
Cl 0.622 0.712 0.434
Cl 0.622 0.788 0.934
Cl 0.633 0.134 0.421
Cl 0.633 0.366 0.921
Cl 0.834 0.583 0.177
Cl 0.834 0.917 0.677
Cl 0.852 0.595 0.853
Cl 0.852 0.905 0.353
Cl 0.995 0.179 0.913
Cl 0.995 0.321 0.413


Record 3
RbI: calculated XRD peak list (CuKα), based on a GGA-PBE-relaxed structure.
Peak positions follow from Bragg's law for the DFT cell and can differ from measured ones.

Main lines, in order of rising 2θ (2θ from 10° to 90°):
- 23.77 deg, rel. 100.0
- 33.86 deg, rel. 79.5
- 41.79 deg, rel. 29.2
- 48.64 deg, rel. 14.0
- 54.83 deg, rel. 39.0
- 60.58 deg, rel. 28.8
- 76.30 deg, rel. 18.5
- 81.26 deg, rel. 12.6

Unit cell a=5.295 b=5.295 c=5.295 alpha=60.00 beta=60.00 gamma=60.00
Atoms (fractional coordinates):
Rb 0.000 0.000 0.000
I 0.500 0.500 0.500


Record 4
ThPbI12: calculated XRD peak list (CuKα), based on a GGA-PBE-relaxed structure.
Peak positions follow from Bragg's law for the DFT cell and can differ from measured ones.

Main lines, in order of rising 2θ (2θ from 10° to 90°):
- 11.06 deg, rel. 100.0
- 20.17 deg, rel. 23.2
- 22.21 deg, rel. 32.2
- 22.95 deg, rel. 27.5
- 23.50 deg, rel. 51.0
- 31.11 deg, rel. 52.7
- 34.79 deg, rel. 49.2
- 37.65 deg, rel. 25.1

Unit cell a=4.780 b=9.240 c=16.132 alpha=90.00 beta=97.11 gamma=90.00
Atoms (fractional coordinates):
Th 0.000 0.000 0.000
Pb 0.147 0.500 0.505
I 0.030 0.302 0.062
I 0.030 0.698 0.062
I 0.429 0.500 0.875
I 0.439 0.175 0.873
I 0.439 0.825 0.873
I 0.554 0.000 0.128
I 0.678 0.500 0.360
I 0.751 0.320 0.621
I 0.751 0.680 0.621
I 0.757 0.000 0.614
I 0.948 0.151 0.372
I 0.948 0.849 0.372


Record 5
Tm2Co3Si5: calculated XRD peak list (CuKα), based on a GGA-PBE-relaxed structure.
Peak positions follow from Bragg's law for the DFT cell and can differ from measured ones.

Main lines, in order of rising 2θ (2θ from 10° to 90°):
- 24.58 deg, rel. 63.9
- 31.93 deg, rel. 23.3
- 32.68 deg, rel. 24.2
- 36.49 deg, rel. 100.0
- 37.25 deg, rel. 57.5
- 37.91 deg, rel. 64.3
- 46.34 deg, rel. 55.2
- 53.63 deg, rel. 32.9

Unit cell a=7.841 b=7.841 c=7.841 alpha=105.45 beta=88.73 gamma=139.09
Atoms (fractional coordinates):
Tm 0.135 0.233 0.368
Tm 0.365 0.733 0.097
Tm 0.635 0.267 0.903
Tm 0.865 0.767 0.632
Co 0.139 0.891 0.030
Co 0.250 0.750 0.500
Co 0.361 0.391 0.753
Co 0.639 0.609 0.247
Co 0.750 0.250 0.500
Co 0.861 0.109 0.970
Si 0.025 0.750 0.275
Si 0.100 0.660 0.760
Si 0.250 0.250 0.000
Si 0.400 0.160 0.560
Si 0.475 0.750 0.725
Si 0.525 0.250 0.275
Si 0.600 0.840 0.440
Si 0.750 0.750 0.000
Si 0.900 0.340 0.240
Si 0.975 0.250 0.725


Record 6
Sm3Co8Sn4: calculated XRD peak list (CuKα), based on a GGA-PBE-relaxed structure.
Peak positions follow from Bragg's law for the DFT cell and can differ from measured ones.

Main lines, in order of rising 2θ (2θ from 10° to 90°):
- 32.81 deg, rel. 29.3
- 33.03 deg, rel. 100.0
- 36.79 deg, rel. 32.0
- 37.33 deg, rel. 28.4
- 38.84 deg, rel. 23.3
- 40.38 deg, rel. 89.5
- 42.64 deg, rel. 24.1
- 64.03 deg, rel. 29.2

Unit cell a=8.936 b=8.936 c=7.605 alpha=90.00 beta=90.00 gamma=120.00
Atoms (fractional coordinates):
Sm 0.049 0.525 0.000
Sm 0.475 0.525 0.000
Sm 0.475 0.951 0.000
Sm 0.525 0.049 0.500
Sm 0.525 0.475 0.500
Sm 0.951 0.475 0.500
Co 0.000 0.000 0.284
Co 0.000 0.000 0.784
Co 0.096 0.192 0.028
Co 0.096 0.904 0.028
Co 0.157 0.314 0.337
Co 0.157 0.843 0.337
Co 0.192 0.096 0.528
Co 0.314 0.157 0.837
Co 0.333 0.667 0.666
Co 0.667 0.333 0.166
Co 0.686 0.843 0.337
Co 0.808 0.904 0.028
Co 0.843 0.157 0.837
Co 0.843 0.686 0.837
Co 0.904 0.096 0.528
Co 0.904 0.808 0.528
Sn 0.170 0.341 0.711
Sn 0.170 0.830 0.711
Sn 0.333 0.667 0.315
Sn 0.341 0.170 0.211
Sn 0.659 0.830 0.711
Sn 0.667 0.333 0.815
Sn 0.830 0.170 0.211
Sn 0.830 0.659 0.211


Record 7
CaSm2O4: calculated XRD peak list (CuKα), based on a GGA-PBE-relaxed structure.
Peak positions follow from Bragg's law for the DFT cell and can differ from measured ones.

Main lines, in order of rising 2θ (2θ from 10° to 90°):
- 15.50 deg, rel. 81.1
- 29.93 deg, rel. 100.0
- 31.29 deg, rel. 50.8
- 36.29 deg, rel. 48.9
- 47.73 deg, rel. 40.0
- 52.26 deg, rel. 51.4
- 62.19 deg, rel. 25.4
- 73.46 deg, rel. 21.3

Unit cell a=7.001 b=7.001 c=7.001 alpha=60.00 beta=60.00 gamma=60.00
Atoms (fractional coordinates):
Ca 0.125 0.125 0.125
Ca 0.875 0.875 0.875
Sm 0.000 0.500 0.500
Sm 0.500 0.000 0.500
Sm 0.500 0.500 0.000
Sm 0.500 0.500 0.500
O 0.261 0.261 0.261
O 0.261 0.261 0.716
O 0.261 0.716 0.261
O 0.284 0.739 0.739
O 0.716 0.261 0.261
O 0.739 0.284 0.739
O 0.739 0.739 0.284
O 0.739 0.739 0.739


Record 8
Cs2Zn5P6H14O28: calculated XRD peak list (CuKα), based on a GGA-PBE-relaxed structure.
Peak positions follow from Bragg's law for the DFT cell and can differ from measured ones.

Main lines, in order of rising 2θ (2θ from 10° to 90°):
- 11.50 deg, rel. 62.5
- 20.15 deg, rel. 66.0
- 21.92 deg, rel. 43.9
- 22.20 deg, rel. 46.3
- 23.13 deg, rel. 100.0
- 25.81 deg, rel. 52.4
- 26.31 deg, rel. 62.2
- 27.61 deg, rel. 70.3

Unit cell a=8.847 b=10.051 c=10.097 alpha=114.05 beta=95.05 gamma=112.80
Atoms (fractional coordinates):
Cs 0.003 0.228 0.462
Cs 0.997 0.772 0.538
Zn 0.097 0.438 0.159
Zn 0.440 0.788 0.828
Zn 0.500 0.000 0.500
Zn 0.560 0.212 0.172
Zn 0.903 0.562 0.841
P 0.194 0.938 0.947
P 0.332 0.509 0.929
P 0.378 0.633 0.480
P 0.622 0.367 0.520
P 0.668 0.491 0.071
P 0.806 0.062 0.053
H 0.087 0.114 0.967
H 0.182 0.795 0.257
H 0.291 0.951 0.232
H 0.368 0.125 0.743
H 0.377 0.780 0.080
H 0.385 0.214 0.645
H 0.445 0.466 0.611
H 0.555 0.534 0.389
H 0.615 0.786 0.355
H 0.623 0.220 0.920
H 0.632 0.875 0.257
H 0.709 0.049 0.768
H 0.818 0.205 0.743
H 0.913 0.886 0.033
O 0.016 0.599 0.189
O 0.027 0.807 0.947
O 0.148 0.056 0.904
O 0.162 0.440 0.789
O 0.214 0.480 0.363
O 0.268 0.863 0.820
O 0.276 0.492 0.062
O 0.297 0.892 0.289
O 0.323 0.035 0.107
O 0.346 0.104 0.639
O 0.379 0.795 0.516
O 0.409 0.617 0.627
O 0.420 0.725 0.998
O 0.459 0.363 0.583
O 0.541 0.637 0.417
O 0.580 0.275 0.002
O 0.591 0.383 0.373
O 0.621 0.205 0.484
O 0.654 0.896 0.361
O 0.677 0.965 0.893
O 0.703 0.108 0.711
O 0.724 0.508 0.938
O 0.732 0.137 0.180
O 0.786 0.520 0.637
O 0.838 0.560 0.211
O 0.852 0.944 0.096
O 0.973 0.193 0.053
O 0.984 0.401 0.811


Record 9
Eu3Pt2: calculated XRD peak list (CuKα), based on a GGA-PBE-relaxed structure.
Peak positions follow from Bragg's law for the DFT cell and can differ from measured ones.

Main lines, in order of rising 2θ (2θ from 10° to 90°):
- 12.23 deg, rel. 29.0
- 30.14 deg, rel. 37.3
- 30.95 deg, rel. 38.1
- 31.46 deg, rel. 100.0
- 33.77 deg, rel. 71.4
- 36.34 deg, rel. 68.4
- 36.74 deg, rel. 75.4
- 48.90 deg, rel. 19.8

Unit cell a=7.847 b=7.847 c=7.847 alpha=71.73 beta=71.73 gamma=71.73
Atoms (fractional coordinates):
Eu 0.000 0.000 0.000
Eu 0.156 0.667 0.396
Eu 0.202 0.202 0.202
Eu 0.333 0.604 0.844
Eu 0.396 0.156 0.667
Eu 0.604 0.844 0.333
Eu 0.667 0.396 0.156
Eu 0.798 0.798 0.798
Eu 0.844 0.333 0.604
Pt 0.043 0.410 0.842
Pt 0.158 0.957 0.590
Pt 0.410 0.842 0.043
Pt 0.590 0.158 0.957
Pt 0.842 0.043 0.410
Pt 0.957 0.590 0.158